(1)
This entry pairs a crystal structure of Sr5CeNd3Cu4PbO18 with its simulated powder diffractogram. Radiation: λ = 1.5418 Å (Cu Kα). Structure: a GGA-PBE-relaxed structure.
Neutral-atom scattering factors, no anomalous dispersion.

Cell lengths 5.4760, 15.4908, 15.4908 Å; angles 20.37, 90.00, 90.00 degrees
Atoms (fractional coordinates):
Sr  0.0000  0.0000  0.0000
Sr  0.0000  0.1751  0.1751
Sr  0.5000  0.0871  0.0871
Sr  0.5000  0.4990  0.4990
Sr  0.5000  0.6750  0.6750
Ce  0.5000  0.3782  0.3782
Nd  0.0000  0.2945  0.2945
Nd  0.0000  0.8811  0.8811
Nd  0.5000  0.7944  0.7944
Cu  0.0000  0.4401  0.4401
Cu  0.0000  0.7335  0.7335
Cu  0.5000  0.2293  0.2293
Cu  0.5000  0.9444  0.9444
Pb  0.0000  0.5871  0.5871
O  0.0000  0.0869  0.0869
O  0.0000  0.5167  0.5167
O  0.0000  0.6574  0.6574
O  0.2469  0.4913  0.9853
O  0.2469  0.9853  0.4913
O  0.2499  0.1914  0.6798
O  0.2499  0.6798  0.1914
O  0.2556  0.0943  0.5833
O  0.2556  0.5833  0.0943
O  0.5000  0.0102  0.0102
O  0.5000  0.1639  0.1639
O  0.5000  0.5871  0.5871
O  0.7444  0.0943  0.5833
O  0.7444  0.5833  0.0943
O  0.7501  0.1914  0.6798
O  0.7501  0.6798  0.1914
O  0.7531  0.4913  0.9853
O  0.7531  0.9853  0.4913

Principal peaks in the range 10 to 90 degrees two-theta, in order of rising 2θ:
- 2θ = 24.60°, intensity 23
- 2θ = 30.89°, intensity 100
- 2θ = 32.70°, intensity 51
- 2θ = 44.46°, intensity 23
- 2θ = 46.92°, intensity 30
- 2θ = 57.24°, intensity 35



(2)
This entry pairs a crystal structure of Ce2Nd2CuSi4 with its simulated powder diffractogram. Radiation: λ = 1.5418 Å (Cu Kα). Structure: a GGA-PBE-relaxed structure.
Neutral-atom scattering factors, no anomalous dispersion.

Cell lengths 6.4669, 6.4669, 6.4669 Å; angles 114.90, 114.90, 99.08 degrees
Atoms (fractional coordinates):
Ce  0.1693  0.1693  0.0000
Ce  0.8307  0.8307  0.0000
Nd  0.2500  0.7500  0.5000
Nd  0.7500  0.2500  0.5000
Cu  0.5000  0.5000  0.0000
Si  0.2678  0.2678  0.5356
Si  0.2678  0.7322  0.0000
Si  0.7322  0.2678  0.0000
Si  0.7322  0.7322  0.4644

Principal peaks in the range 10 to 90 degrees two-theta, in order of rising 2θ:
- 2θ = 25.60°, intensity 100
- 2θ = 33.46°, intensity 84
- 2θ = 34.56°, intensity 44
- 2θ = 36.52°, intensity 81
- 2θ = 43.50°, intensity 40
- 2θ = 52.61°, intensity 28



What did the second record say?
This entry pairs a crystal structure of Ce2Nd2CuSi4 with its simulated powder diffractogram. Radiation: λ = 1.5418 Å (Cu Kα). Structure: a GGA-PBE-relaxed structure.
Neutral-atom scattering factors, no anomalous dispersion.

Cell lengths 6.4669, 6.4669, 6.4669 Å; angles 114.90, 114.90, 99.08 degrees
Atoms (fractional coordinates):
Ce  0.1693  0.1693  0.0000
Ce  0.8307  0.8307  0.0000
Nd  0.2500  0.7500  0.5000
Nd  0.7500  0.2500  0.5000
Cu  0.5000  0.5000  0.0000
Si  0.2678  0.2678  0.5356
Si  0.2678  0.7322  0.0000
Si  0.7322  0.2678  0.0000
Si  0.7322  0.7322  0.4644

Principal peaks in the range 10 to 90 degrees two-theta, in order of rising 2θ:
- 2θ = 25.60°, intensity 100
- 2θ = 33.46°, intensity 84
- 2θ = 34.56°, intensity 44
- 2θ = 36.52°, intensity 81
- 2θ = 43.50°, intensity 40
- 2θ = 52.61°, intensity 28



Q: Number 1 is which compound?
A: Sr5CeNd3Cu4PbO18